No. 1
Starting from the GGA-PBE geometry in Alexandria, the X-ray diffraction stick pattern of TbPr2UO8 was simulated for a wavelength of 1.5418 Å.
Intensities are scaled so that the largest is 100.

Structure:
```
data_TbPr2UO8
_symmetry_space_group_name_H-M 'P m m m'
_symmetry_Int_Tables_number 47
_symmetry_space_group_name_Hall '-P 2 2'
_cell_length_a 3.9282
_cell_length_b 5.5630
_cell_length_c 7.6815
_cell_angle_alpha 90.00
_cell_angle_beta 90.00
_cell_angle_gamma 90.00
loop_
_atom_site_label
_atom_site_type_symbol
_atom_site_fract_x
_atom_site_fract_y
_atom_site_fract_z
Tb1 Tb 0.0000 0.0000 0.0000
Pr1 Pr 0.5000 0.5000 0.2502
U1 U 0.0000 0.0000 0.5000
O1 O 0.0000 0.2309 0.2753
O2 O 0.5000 0.2211 0.5000
O3 O 0.5000 0.2409 0.0000
```

Main lines, low angle first (10° ≤ 2θ ≤ 80°):
d (Å), I_rel, (hkl)
3.209, 100, 1 1 0
3.161, 96, 0 1 2
2.746, 43, 1 0 2
1.954, 68, 1 2 2
1.669, 46, 2 1 2
1.648, 29, 1 1 4

***

No. 2
Starting from the GGA-PBE geometry in Alexandria, the X-ray diffraction stick pattern of CsLiU2Br8 was simulated for a wavelength of 1.5418 Å.
Intensities are scaled so that the largest is 100.

Structure:
```
data_CsLiU2Br8
_symmetry_space_group_name_H-M 'P -3'
_symmetry_Int_Tables_number 147
_symmetry_space_group_name_Hall '-P 3'
_cell_length_a 7.3625
_cell_length_b 7.3625
_cell_length_c 9.1665
_cell_angle_alpha 90.00
_cell_angle_beta 90.00
_cell_angle_gamma 120.00
loop_
_atom_site_label
_atom_site_type_symbol
_atom_site_fract_x
_atom_site_fract_y
_atom_site_fract_z
Cs1 Cs 0.0000 0.0000 0.0000
Li1 Li 0.0000 0.0000 0.5000
U1 U 0.3333 0.6667 0.4146
Br1 Br 0.0696 0.3512 0.6509
Br2 Br 0.3333 0.6667 0.1074
```

Main lines, low angle first (10° ≤ 2θ ≤ 80°):
d (Å), I_rel, (hkl)
5.234, 100, 0 1 1
3.681, 61, 1 1 0
3.011, 82, 2 0 1
2.870, 74, 2 -1 2
2.755, 55, 0 1 3
2.125, 53, 3 0 0